Entry 1:
Structure and calculated powder XRD pattern of Ca2Pm5Ir3 (a crystal structure in Alexandria, relaxed with PBE; λ = 1.5418 Å (Cu Kα)).
Lines closer than 0.1° are merged.

Largest 10 diffraction maxima, sorted by position, 2θ = 5–70°:
| index | Position (°2θ) | Rel. int. |
| --- | --- | --- |
| 0 4 1 | 16.4 | 41 |
| 0 6 0 | 17.6 | 28 |
| 1 1 1 | 22.3 | 29 |
| 1 7 1 | 30.3 | 47 |
| 1 3 2 | 31.3 | 100 |
| 0 12 0 | 35.6 | 35 |
| 1 11 0 | 37.8 | 43 |
| 2 0 0 | 38.1 | 63 |
| 1 9 2 | 40.4 | 74 |
| 1 3 3 | 41.1 | 38 |

Structure:
Cell lengths 4.7230, 30.2927, 7.6842 Å; angles 90.00, 90.00, 90.00 degrees
Space group Cmc2_1 (No. 36)
Asymmetric unit:
1 Ca 0.0000 0.0263 0.0000
2 Ca 0.0000 0.3361 0.0669
3 Pm 0.0000 0.0915 0.3759
4 Pm 0.0000 0.2056 0.8364
5 Pm 0.0000 0.2125 0.2768
6 Pm 0.0000 0.3760 0.5208
7 Pm 0.0000 0.4511 0.1665
8 Ir 0.0000 0.1077 0.7571
9 Ir 0.0000 0.2780 0.5582
10 Ir 0.0000 0.4556 0.7860

=====

Entry 2:
Structure and calculated powder XRD pattern of CaPm2Ir (a crystal structure in Alexandria, relaxed with PBE; λ = 1.5418 Å (Cu Kα)).
Lines closer than 0.1° are merged.

Largest 10 diffraction maxima, sorted by position, 2θ = 5–70°:
| index | Position (°2θ) | Rel. int. |
| --- | --- | --- |
| 1 0 0 | 8.6 | 100 |
| 1 1 1 | 19.8 | 45 |
| 2 1 1 | 24.8 | 35 |
| 3 1 0 | 29.2 | 20 |
| 2 1 2 | 32.5 | 41 |
| 3 0 2 | 35.5 | 31 |
| 0 2 2 | 36.0 | 40 |
| 1 2 2 | 37.1 | 21 |
| 3 2 0 | 37.5 | 32 |
| 0 0 4 | 48.7 | 21 |

Structure:
Cell lengths 10.3132, 6.6912, 7.4831 Å; angles 90.00, 90.00, 90.00 degrees
Space group Pbcm (No. 57)
Asymmetric unit:
1 Ca 0.1271 0.2314 0.2500
2 Pm 0.1993 0.7500 0.0000
3 Pm 0.4542 0.2500 0.0000
4 Ir 0.3534 0.5442 0.7500

=====

Entry 3:
Structure and calculated powder XRD pattern of CaPm4Ir4 (a crystal structure in Alexandria, relaxed with PBE; λ = 1.5418 Å (Cu Kα)).
Lines closer than 0.1° are merged.

Largest 10 diffraction maxima, sorted by position, 2θ = 5–70°:
| index | Position (°2θ) | Rel. int. |
| --- | --- | --- |
| 1 1 0 | 13.8 | 32 |
| 2 0 0 | 19.6 | 28 |
| 1 3 0 | 31.2 | 100 |
| 1 0 2 | 32.6 | 55 |
| 1 2 2 | 38.3 | 37 |
| 2 3 1 | 39.1 | 15 |
| 3 0 2 | 43.4 | 33 |
| 4 2 0 | 44.8 | 30 |
| 3 2 2 | 48.0 | 38 |
| 1 4 2 | 52.4 | 14 |

Structure:
Cell lengths 9.0529, 9.0529, 5.7700 Å; angles 90.00, 90.00, 90.00 degrees
Space group P4_2/n (No. 86, origin choice 2)
Asymmetric unit:
1 Ca 0.2500 0.2500 0.2500
2 Pm 0.0734 0.6631 0.1318
3 Ir 0.0295 0.6184 0.6303

=====

Entry 4:
Structure and calculated powder XRD pattern of CaPmTlIr (a crystal structure in Alexandria, relaxed with PBE; λ = 1.5418 Å (Cu Kα)).
Lines closer than 0.1° are merged.

Largest 10 diffraction maxima, sorted by position, 2θ = 5–70°:
| index | Position (°2θ) | Rel. int. |
| --- | --- | --- |
| 0 0 1 | 10.5 | 16 |
| 0 0 2 | 21.0 | 16 |
| 1 0 0 | 25.6 | 13 |
| 1 0 2 | 33.4 | 100 |
| 1 1 0 | 36.5 | 44 |
| 1 1 2 | 42.5 | 11 |
| 1 0 4 | 50.6 | 14 |
| 2 0 0 | 52.6 | 16 |
| 1 1 4 | 57.5 | 15 |
| 2 1 2 | 63.8 | 31 |

Structure:
Cell lengths 3.4779, 3.4779, 8.4462 Å; angles 90.00, 90.00, 90.00 degrees
Space group P4mm (No. 99)
Asymmetric unit:
1 Ca 0.0000 0.0000 0.0000
2 Pm 0.0000 0.0000 0.5916
3 Tl 0.5000 0.5000 0.2881
4 Ir 0.5000 0.5000 0.7830

=====

Entry 5:
Structure and calculated powder XRD pattern of CaPr3Ir8 (a crystal structure in Alexandria, relaxed with PBE; λ = 1.5418 Å (Cu Kα)).
Lines closer than 0.1° are merged.

Largest 10 diffraction maxima, sorted by position, 2θ = 5–70°:
| index | Position (°2θ) | Rel. int. |
| --- | --- | --- |
| 0 0 3 | 10.0 | 1 |
| 0 0 6 | 20.0 | 27 |
| 1 1 0 | 32.9 | 14 |
| 2 0 2 | 38.8 | 100 |
| 0 2 4 | 40.6 | 57 |
| 2 0 8 | 47.3 | 13 |
| 0 1 14 | 51.8 | 7 |
| 3 0 0 | 58.8 | 5 |
| 2 1 10 | 62.8 | 33 |
| 2 2 0 | 69.1 | 31 |

Structure:
Cell lengths 5.4392, 5.4392, 26.6582 Å; angles 90.00, 90.00, 120.00 degrees
Space group R3m (No. 160, hexagonal axes)
Asymmetric unit:
1 Ca 0.0000 0.0000 0.0000
2 Pr 0.0000 0.0000 0.3726
3 Pr 0.0000 0.0000 0.4989
4 Pr 0.0000 0.0000 0.8765
5 Ir 0.0000 0.0000 0.1870
6 Ir 0.0000 0.0000 0.6868
7 Ir 0.9998 0.4999 0.4366
8 Ir 0.9995 0.4998 0.9372

=====

Entry 6:
Structure and calculated powder XRD pattern of CaPr4Ir2 (a crystal structure in Alexandria, relaxed with PBE; λ = 1.5418 Å (Cu Kα)).
Lines closer than 0.1° are merged.

Largest 10 diffraction maxima, sorted by position, 2θ = 5–70°:
| index | Position (°2θ) | Rel. int. |
| --- | --- | --- |
| 0 1 0 | 12.1 | 100 |
| 1 0 -1 | 13.7 | 57 |
| 1 0 2 | 29.0 | 38 |
| 1 2 -2 | 29.2 | 39 |
| 2 -2 0 | 31.1 | 54 |
| 1 1 2 | 35.1 | 47 |
| 2 2 -2 | 35.4 | 46 |
| 2 -1 2 | 36.5 | 49 |
| 3 0 -2 | 36.7 | 36 |
| 1 1 -4 | 41.9 | 42 |

Structure:
Cell lengths 7.7501, 7.7513, 8.6255 Å; angles 105.87, 105.89, 95.94 degrees
Space group P1 (No. 1)
Asymmetric unit:
1 Ca 0.0000 0.0000 0.0000
2 Ca 0.0275 0.9722 0.4999
3 Pr 0.2938 0.7543 0.7649
4 Pr 0.2979 0.7512 0.2579
5 Pr 0.3182 0.2896 0.4015
6 Pr 0.3177 0.2901 0.9020
7 Pr 0.6734 0.7247 0.5982
8 Pr 0.7527 0.6457 0.0974
9 Pr 0.7792 0.2700 0.7575
10 Pr 0.7832 0.2673 0.2651
11 Ir 0.0366 0.3903 0.1088
12 Ir 0.4182 0.0083 0.6094
13 Ir 0.5183 0.4965 0.7531
14 Ir 0.5252 0.4912 0.2535

=====

Entry 7:
Structure and calculated powder XRD pattern of Ca6IrPt (a crystal structure in Alexandria, relaxed with PBE; λ = 1.5418 Å (Cu Kα)).
Lines closer than 0.1° are merged.

Largest 10 diffraction maxima, sorted by position, 2θ = 5–70°:
| index | Position (°2θ) | Rel. int. |
| --- | --- | --- |
| 1 0 1 | 16.3 | 55 |
| 1 0 2 | 20.0 | 100 |
| 1 0 3 | 24.9 | 20 |
| 1 1 0 | 26.0 | 20 |
| 1 1 2 | 29.3 | 25 |
| 2 0 2 | 33.0 | 29 |
| 2 -1 4 | 37.5 | 65 |
| 3 -1 2 | 42.5 | 29 |
| 3 0 0 | 45.9 | 28 |
| 2 2 4 | 60.7 | 16 |

Structure:
Cell lengths 6.8525, 6.8525, 13.4025 Å; angles 90.00, 90.00, 120.00 degrees
Space group P-31c (No. 163)
Asymmetric unit:
1 Ca 0.0030 0.3304 0.1226
2 Ir 0.0000 0.0000 0.0000
3 Pt 0.3333 0.6667 0.2500

=====

Entry 8:
Structure and calculated powder XRD pattern of Ca4IrPt (a crystal structure in Alexandria, relaxed with PBE; λ = 1.5418 Å (Cu Kα)).
Lines closer than 0.1° are merged.

Largest 10 diffraction maxima, sorted by position, 2θ = 5–70°:
| index | Position (°2θ) | Rel. int. |
| --- | --- | --- |
| 0 2 0 | 13.3 | 55 |
| 1 1 -1 | 15.7 | 41 |
| 0 2 1 | 21.4 | 30 |
| 2 0 0 | 23.1 | 100 |
| 3 1 -1 | 30.1 | 25 |
| 0 0 2 | 33.7 | 28 |
| 1 3 -2 | 35.5 | 45 |
| 1 5 0 | 35.6 | 29 |
| 3 3 -2 | 38.8 | 37 |
| 3 3 0 | 40.6 | 45 |

Structure:
Cell lengths 9.1528, 13.3322, 6.3232 Å; angles 90.00, 122.67, 90.00 degrees
Space group C2/c (No. 15)
Asymmetric unit:
1 Ca 0.1244 0.1753 0.0906
2 Ca 0.1996 0.4412 0.2687
3 Ir 0.0000 0.0026 0.2500
4 Pt 0.0000 0.3631 0.7500